Diffraction record for Tb8Pm3Mg. The powder XRD pattern is computed, not measured: it uses a DFT-relaxed cell (PBE, Alexandria) and Cu Kα.
Lines closer than 0.1° are merged.

Crystal structure
```
12
Lattice="13.0348 -1.7205 0.0000 13.0348 1.7205 0.0000 -1.6601 0.0000 8.6734" Properties=species:S:1:pos:R:3 pbc="T T T"
Tb 0.0000 0.0000 0.0000
Tb 2.9391 0.0000 5.7306
Tb 9.7060 0.0000 0.0246
Tb 12.5640 0.0000 5.7975
Tb 14.3333 0.0000 2.8481
Tb 17.7245 0.0000 3.0057
Tb 21.1368 0.0000 2.8551
Tb 24.4054 0.0000 2.9392
Pm 14.5166 0.0000 8.5653
Pm 19.4430 0.0000 0.0383
Pm 19.2700 0.0000 5.8600
Mg 22.6207 0.0000 5.9019
```

Peak list (12 most intense, 2θ = 5–70°, most intense first)
| Position (°2θ) | d (Å) | I/Imax |
| --- | --- | --- |
| 31.51 | 2.839 | 100.0 |
| 30.93 | 2.891 | 55.6 |
| 30.52 | 2.929 | 31.4 |
| 33.68 | 2.661 | 29.8 |
| 63.19 | 1.471 | 27.3 |
| 31.32 | 2.856 | 24.3 |
| 26.13 | 3.410 | 20.0 |
| 62.85 | 1.479 | 14.7 |
| 53.24 | 1.721 | 12.4 |
| 38.66 | 2.329 | 12.3 |
| 46.64 | 1.947 | 12.0 |
| 56.50 | 1.629 | 10.8 |



Diffraction record for AcNd3Tl3. The powder XRD pattern is computed, not measured: it uses a DFT-relaxed cell (PBE, Alexandria) and Cu Kα.
Lines closer than 0.1° are merged.

Crystal structure
```
28
Lattice="9.7773 0.0000 0.0000 0.0000 9.7773 0.0000 0.0000 0.0000 9.7773" Properties=species:S:1:pos:R:3 pbc="T T T"
Ac 0.7051 4.1836 5.5938
Ac 4.1836 5.5938 0.7051
Ac 5.5938 0.7051 4.1836
Ac 9.0722 9.0722 9.0722
Nd 0.7764 5.6651 9.0009
Nd 1.7510 8.0264 3.1377
Nd 1.7568 1.7568 1.7568
Nd 3.1319 8.0205 6.6455
Nd 3.1377 1.7510 8.0264
Nd 4.1123 4.1123 4.1123
Nd 5.6651 9.0009 0.7764
Nd 6.6396 6.6396 6.6396
Nd 6.6455 3.1319 8.0205
Nd 8.0205 6.6455 3.1319
Nd 8.0264 3.1377 1.7510
Nd 9.0009 0.7764 5.6651
Tl 0.0237 2.5417 8.6549
Tl 1.1225 4.9124 2.3470
Tl 2.3470 1.1225 4.9124
Tl 2.5417 8.6549 0.0237
Tl 3.7662 4.8650 7.2356
Tl 4.8650 7.2356 3.7662
Tl 4.9124 2.3470 1.1225
Tl 6.0112 9.7536 7.4304
Tl 7.2356 3.7662 4.8650
Tl 7.4304 6.0112 9.7536
Tl 8.6549 0.0237 2.5417
Tl 9.7536 7.4304 6.0112
```

Peak list (12 most intense, 2θ = 5–70°, most intense first)
| Position (°2θ) | d (Å) | I/Imax |
| --- | --- | --- |
| 28.88 | 3.092 | 100.0 |
| 34.32 | 2.613 | 67.3 |
| 58.16 | 1.586 | 29.0 |
| 47.41 | 1.917 | 20.0 |
| 41.29 | 2.186 | 16.4 |
| 61.46 | 1.509 | 14.9 |
| 45.45 | 1.996 | 14.3 |
| 59.82 | 1.546 | 11.7 |
| 43.41 | 2.085 | 11.7 |
| 22.27 | 3.992 | 7.9 |
| 66.22 | 1.411 | 6.1 |
| 64.66 | 1.442 | 3.8 |



Diffraction record for Cs3CaTe2O8. The powder XRD pattern is computed, not measured: it uses a DFT-relaxed cell (PBE, Alexandria) and Cu Kα.
Lines closer than 0.1° are merged.

Crystal structure
```
14
Lattice="6.4815 0.0000 0.0000 -3.2408 5.6132 0.0000 0.0000 0.0000 8.5672" Properties=species:S:1:pos:R:3 pbc="T T T"
Cs 0.0000 0.0000 0.0000
Cs 0.0000 3.7421 6.1009
Cs 3.2408 1.8711 2.4662
Ca 0.0000 0.0000 4.2836
Te 0.0000 3.7421 2.2676
Te 3.2408 1.8711 6.2996
O 0.0000 1.9306 2.8557
O -1.5688 4.6479 2.8557
O 0.0000 3.7421 0.4129
O 1.6719 0.9653 5.7115
O 1.5688 4.6479 2.8557
O 3.2408 1.8711 8.1543
O 4.8096 0.9653 5.7115
O 3.2408 3.6826 5.7115
```

Peak list (12 most intense, 2θ = 5–70°, most intense first)
| Position (°2θ) | d (Å) | I/Imax |
| --- | --- | --- |
| 27.52 | 3.241 | 100.0 |
| 26.17 | 3.405 | 75.6 |
| 38.34 | 2.348 | 35.2 |
| 47.84 | 1.901 | 28.1 |
| 51.12 | 1.787 | 25.4 |
| 48.66 | 1.871 | 20.3 |
| 42.18 | 2.142 | 19.2 |
| 66.33 | 1.409 | 17.5 |
| 56.82 | 1.620 | 17.2 |
| 63.60 | 1.463 | 17.0 |
| 34.71 | 2.584 | 15.5 |
| 20.74 | 4.284 | 15.4 |